The following is a computed X-ray diffraction stick pattern of KRb2IrO4. It was derived from a crystal structure in Alexandria, relaxed with PBE, using Cu Kα (λ = 1.5418 Å).
Neutral-atom scattering factors, no anomalous dispersion.

Peak list (8 most intense, 5° ≤ 2θ ≤ 70°, by intensity)
30.7°, intensity 100, hkl 1 1 2; 27.1°, intensity 49, hkl 2 0 0; 50.1°, intensity 45, hkl 3 1 2; 18.0°, intensity 37, hkl 1 0 1; 38.7°, intensity 37, hkl 2 2 0; 19.1°, intensity 22, hkl 1 1 0; 63.9°, intensity 15, hkl 2 2 4; 63.1°, intensity 14, hkl 4 2 0

Structural model:
```
data_KRb2IrO4
_symmetry_space_group_name_H-M 'I -4 m 2'
_symmetry_Int_Tables_number 119
_symmetry_space_group_name_Hall 'I -4 -2'
_cell_length_a 6.5872
_cell_length_b 6.5872
_cell_length_c 7.4705
_cell_angle_alpha 90.00
_cell_angle_beta 90.00
_cell_angle_gamma 90.00
loop_
_atom_site_label
_atom_site_type_symbol
_atom_site_fract_x
_atom_site_fract_y
_atom_site_fract_z
K1 K 0.0000 0.0000 0.0000
Rb1 Rb 0.0000 0.0000 0.5000
Rb2 Rb 0.0000 0.5000 0.7500
Ir1 Ir 0.0000 0.5000 0.2500
O1 O 0.2014 0.2986 0.2500
```



The following is a computed X-ray diffraction stick pattern of K2IrRuO6. It was derived from a crystal structure in Alexandria, relaxed with PBE, using Cu Kα (λ = 1.5418 Å).
Neutral-atom scattering factors, no anomalous dispersion.

Peak list (8 most intense, 5° ≤ 2θ ≤ 70°, by intensity)
32.1°, intensity 100, hkl 2 0 0; 22.5°, intensity 63, hkl 1 1 0; 57.2°, intensity 38, hkl 3 1 1; 51.8°, intensity 27, hkl 3 1 0; 46.0°, intensity 22, hkl 2 2 0; 67.1°, intensity 20, hkl 4 0 0; 45.9°, intensity 11, hkl 0 0 2; 15.9°, intensity 10, hkl 1 0 0

Structural model:
```
data_K2IrRuO6
_symmetry_space_group_name_H-M 'P 4/m m m'
_symmetry_Int_Tables_number 123
_symmetry_space_group_name_Hall '-P 4 2'
_cell_length_a 5.5783
_cell_length_b 5.5783
_cell_length_c 3.9530
_cell_angle_alpha 90.00
_cell_angle_beta 90.00
_cell_angle_gamma 90.00
loop_
_atom_site_label
_atom_site_type_symbol
_atom_site_fract_x
_atom_site_fract_y
_atom_site_fract_z
K1 K 0.0000 0.5000 0.0000
Ir1 Ir 0.0000 0.0000 0.5000
Ru1 Ru 0.5000 0.5000 0.5000
O1 O 0.0000 0.0000 0.0000
O2 O 0.2503 0.2503 0.5000
O3 O 0.5000 0.5000 0.0000
```